Starting from a crystal structure in Alexandria, relaxed with GGA-PBE, the powder XRD pattern of K6ReAs4 was simulated for Cu Ka.
No peak broadening, texture or thermal motion is included.

The 10 most intense peaks (15° ≤ 2θ ≤ 90°), in order of rising 2θ:
- 5.196 Å, I = 37, (1 1 0)
- 4.500 Å, I = 29, (2 0 0)
- 3.137 Å, I = 81, (2 1 1)
- 3.014 Å, I = 42, (2 0 2)
- 2.814 Å, I = 42, (3 0 1)
- 2.595 Å, I = 100, (2 2 0)
- 2.117 Å, I = 27, (2 1 3)
- 2.001 Å, I = 23, (3 2 1)
- 1.732 Å, I = 25, (3 3 0)
- 1.641 Å, I = 28, (3 2 3)

Cell and atoms:
abc: 10.3925 10.3925 8.1161
angles: 90.00 90.00 120.00
Space group P6_3mc (No. 186)
Asymmetric unit:
K (0.0617, 0.5309, 0.0000) (multiplicity 6)
K (0.1408, 0.2817, 0.3186) (multiplicity 6)
Re (0.3333, 0.6667, 0.6080) (multiplicity 2)
As (0.2077, 0.4154, 0.7034) (multiplicity 6)
As (0.3333, 0.6667, 0.3132) (multiplicity 2)

***

Starting from a crystal structure in Alexandria, relaxed with GGA-PBE, the powder XRD pattern of Ac6NiPt3 was simulated for Cu Ka.
No peak broadening, texture or thermal motion is included.

The 10 most intense peaks (15° ≤ 2θ ≤ 90°), in order of rising 2θ:
- 3.400 Å, I = 51, (1 0 2)
- 3.362 Å, I = 59, (1 2 0)
- 3.331 Å, I = 70, (2 1 -2)
- 3.319 Å, I = 100, (1 0 -4)
- 3.218 Å, I = 93, (2 1 -1)
- 3.128 Å, I = 46, (1 1 2)
- 3.065 Å, I = 55, (1 1 -4)
- 3.000 Å, I = 56, (1 2 1)
- 2.501 Å, I = 54, (1 3 -1)
- 2.138 Å, I = 47, (3 1 -5)

Cell and atoms:
abc: 7.3296 7.9814 13.3225
angles: 90.00 121.67 90.00
Space group P2_1/c (No. 14)
Asymmetric unit:
Ac (0.0912, 0.0573, 0.2522) (multiplicity 4)
Ac (0.2623, 0.6777, 0.0821) (multiplicity 4)
Ac (0.4053, 0.1858, 0.0778) (multiplicity 4)
Ni (0.5000, 0.0000, 0.5000) (multiplicity 2)
Pt (0.0000, 0.0000, 0.0000) (multiplicity 2)
Pt (0.3150, 0.1101, 0.7600) (multiplicity 4)

***

Starting from a crystal structure in Alexandria, relaxed with GGA-PBE, the powder XRD pattern of Cu23Ge6 was simulated for Cu Ka.
No peak broadening, texture or thermal motion is included.

The 10 most intense peaks (15° ≤ 2θ ≤ 90°), in order of rising 2θ:
- 4.105 Å, I = 8, (2 2 0)
- 3.500 Å, I = 1, (3 1 1)
- 2.596 Å, I = 2, (4 2 0)
- 2.370 Å, I = 4, (4 2 2)
- 2.052 Å, I = 100, (4 4 0)
- 1.836 Å, I = 2, (6 2 0)
- 1.551 Å, I = 2, (6 4 2)
- 1.451 Å, I = 15, (8 0 0)
- 1.185 Å, I = 29, (8 4 4)
- 1.138 Å, I = 1, (8 6 2)

Cell and atoms:
abc: 11.6096 11.6096 11.6096
angles: 90.00 90.00 90.00
Space group Fm-3m (No. 225)
Asymmetric unit:
Cu (0.0000, 0.0000, 0.0000) (multiplicity 4)
Cu (0.0000, 0.2500, 0.2500) (multiplicity 24)
Cu (0.1265, 0.1265, 0.3735) (multiplicity 32)
Cu (0.1298, 0.1298, 0.1298) (multiplicity 32)
Ge (0.0000, 0.0000, 0.2491) (multiplicity 24)

***

Starting from a crystal structure in Alexandria, relaxed with GGA-PBE, the powder XRD pattern of Cs2BaSi2O6 was simulated for Cu Ka.
No peak broadening, texture or thermal motion is included.

The 10 most intense peaks (15° ≤ 2θ ≤ 90°), in order of rising 2θ:
- 5.325 Å, I = 24, (1 1 0)
- 3.784 Å, I = 21, (1 1 1)
- 3.323 Å, I = 100, (1 1 -2)
- 3.180 Å, I = 75, (0 2 0)
- 2.435 Å, I = 19, (4 0 0)
- 2.300 Å, I = 21, (2 2 1)
- 1.948 Å, I = 20, (2 0 -4)
- 1.863 Å, I = 20, (5 1 0)
- 1.836 Å, I = 15, (3 3 -1)
- 1.590 Å, I = 14, (0 4 0)

Cell and atoms:
abc: 11.0113 6.3630 7.8426
angles: 90.00 117.71 90.00
Space group C2/m (No. 12)
Asymmetric unit:
Cs (0.2058, 0.0000, 0.1180) (multiplicity 4)
Ba (0.0000, 0.0000, 0.5000) (multiplicity 2)
Si (0.0844, 0.5000, 0.2543) (multiplicity 4)
O (0.0119, 0.2837, 0.2535) (multiplicity 8)
O (0.2292, 0.5000, 0.2554) (multiplicity 4)

***

Starting from a crystal structure in Alexandria, relaxed with GGA-PBE, the powder XRD pattern of Pr3AuSe2 was simulated for Cu Ka.
No peak broadening, texture or thermal motion is included.

The 10 most intense peaks (15° ≤ 2θ ≤ 90°), in order of rising 2θ:
- 3.045 Å, I = 100, (2 0 0)
- 2.171 Å, I = 13, (0 0 4)
- 2.153 Å, I = 51, (2 3 2)
- 2.138 Å, I = 13, (0 6 0)
- 1.767 Å, I = 14, (2 0 4)
- 1.749 Å, I = 13, (2 6 0)
- 1.524 Å, I = 8, (0 6 4)
- 1.362 Å, I = 17, (4 3 -2)
- 1.250 Å, I = 9, (2 3 -6)
- 1.237 Å, I = 8, (2 9 2)

Cell and atoms:
abc: 6.0832 12.8296 8.6854
angles: 90.00 90.02 90.00
Space group P2_1/c (No. 14)
Asymmetric unit:
Pr (0.2494, 0.0823, 0.1283) (multiplicity 4)
Pr (0.2498, 0.0883, 0.6187) (multiplicity 4)
Pr (0.2507, 0.7488, 0.1317) (multiplicity 4)
Au (0.2506, 0.5817, 0.3785) (multiplicity 4)
Se (0.2493, 0.2484, 0.8742) (multiplicity 4)
Se (0.2502, 0.5840, 0.8794) (multiplicity 4)

***

Starting from a crystal structure in Alexandria, relaxed with GGA-PBE, the powder XRD pattern of UNbN3 was simulated for Cu Ka.
No peak broadening, texture or thermal motion is included.

The 10 most intense peaks (15° ≤ 2θ ≤ 90°), in order of rising 2θ:
- 4.219 Å, I = 54, (0 2 1)
- 2.848 Å, I = 100, (1 1 1)
- 2.836 Å, I = 80, (0 4 1)
- 2.733 Å, I = 32, (0 0 2)
- 2.719 Å, I = 58, (1 3 0)
- 1.928 Å, I = 57, (1 3 2)
- 1.724 Å, I = 14, (2 0 0)
- 1.598 Å, I = 30, (0 4 3)
- 1.589 Å, I = 37, (1 7 1)
- 1.473 Å, I = 23, (2 4 1)

Cell and atoms:
abc: 3.4472 13.2680 5.4661
angles: 90.00 90.00 90.00
Space group Cmc2_1 (No. 36)
Asymmetric unit:
U (0.0000, 0.1758, 0.0000) (multiplicity 4)
Nb (0.0000, 0.4594, 0.9353) (multiplicity 4)
N (0.0000, 0.0274, 0.1565) (multiplicity 4)
N (0.0000, 0.3109, 0.7656) (multiplicity 4)
N (0.0000, 0.3785, 0.2854) (multiplicity 4)

***

Starting from a crystal structure in Alexandria, relaxed with GGA-PBE, the powder XRD pattern of Cu2Br3F was simulated for Cu Ka.
No peak broadening, texture or thermal motion is included.

The 10 most intense peaks (15° ≤ 2θ ≤ 90°), in order of rising 2θ:
- 4.815 Å, I = 35, (0 0 2)
- 4.416 Å, I = 57, (2 0 1)
- 4.306 Å, I = 27, (4 0 -1)
- 3.476 Å, I = 25, (4 0 0)
- 3.211 Å, I = 25, (0 0 3)
- 3.110 Å, I = 59, (2 0 2)
- 2.455 Å, I = 100, (5 1 -3)
- 2.016 Å, I = 33, (7 1 -2)
- 1.977 Å, I = 41, (3 1 -5)
- 1.684 Å, I = 29, (0 2 0)

Cell and atoms:
abc: 18.5676 3.3694 12.8596
angles: 90.00 131.51 90.00
Space group C2/m (No. 12)
Asymmetric unit:
Cu (0.0891, 0.0000, 0.3241) (multiplicity 4)
Cu (0.1367, 0.5000, 0.8596) (multiplicity 4)
Br (0.0701, 0.5000, 0.4386) (multiplicity 4)
Br (0.1369, 0.5000, 0.2478) (multiplicity 4)
Br (0.2200, 0.0000, 0.8361) (multiplicity 4)
F (0.0747, 0.0000, 0.8621) (multiplicity 4)

***

Starting from a crystal structure in Alexandria, relaxed with GGA-PBE, the powder XRD pattern of CaTl2AuCl was simulated for Cu Ka.
No peak broadening, texture or thermal motion is included.

The 10 most intense peaks (15° ≤ 2θ ≤ 90°), in order of rising 2θ:
- 3.530 Å, I = 21, (1 1 -1)
- 3.170 Å, I = 49, (2 0 1)
- 3.114 Å, I = 100, (1 1 -2)
- 2.622 Å, I = 22, (1 1 -3)
- 2.342 Å, I = 18, (2 0 -4)
- 2.334 Å, I = 32, (1 1 3)
- 2.123 Å, I = 38, (3 1 -1)
- 2.083 Å, I = 28, (0 2 0)
- 1.970 Å, I = 22, (1 1 4)
- 1.741 Å, I = 18, (2 2 1)

Cell and atoms:
abc: 7.4021 4.1683 10.4144
angles: 90.00 103.36 90.00
Space group Cm (No. 8)
Asymmetric unit:
Ca (0.0000, 0.0000, 0.0000) (multiplicity 2)
Tl (0.2338, 0.0000, 0.6705) (multiplicity 2)
Tl (0.3343, 0.5000, 0.4531) (multiplicity 2)
Au (0.1108, 0.5000, 0.8198) (multiplicity 2)
Cl (0.3771, 0.0000, 0.1402) (multiplicity 2)